Calculated powder diffractogram of MgH8N2F4 for Cu Kα X-rays, from DFT lattice parameters and positions (GGA-PBE).
Peak positions follow from Bragg's law for the DFT cell and can differ from measured ones.

```
data_MgH8N2F4
_chemical_formula_sum 'Mg4 H32 N8 F16'
_space_group_name_H-M_alt 'P 1 21/c 1'
_space_group_IT_number 14
_cell_length_a 5.8859
_cell_length_b 5.7704
_cell_length_c 13.8443
_cell_angle_alpha 90.00
_cell_angle_beta 91.31
_cell_angle_gamma 90.00
loop_
_space_group_symop_operation_xyz
'x,y,z'
'-x,-y,-z'
'-x,y+1/2,-z+1/2'
'x,-y+1/2,z+1/2'
loop_
_atom_site_label
_atom_site_type_symbol
_atom_site_fract_x
_atom_site_fract_y
_atom_site_fract_z
_atom_site_occupancy
Mg1 Mg 0.0000 0.0000 0.0000 1
Mg2 Mg 0.5000 0.0000 0.5000 1
H1 H 0.0010 0.0101 0.7344 1
H2 H 0.0045 0.6856 0.1431 1
H3 H 0.1354 0.5676 0.8745 1
H4 H 0.1464 0.0637 0.6296 1
H5 H 0.3223 0.5363 0.3641 1
H6 H 0.3987 0.0761 0.1209 1
H7 H 0.4892 0.5139 0.2652 1
H8 H 0.4967 0.1915 0.8535 1
N1 N 0.0042 0.5089 0.1591 1
N2 N 0.4791 0.0134 0.8398 1
F1 F 0.0057 0.5205 0.6456 1
F2 F 0.2414 0.7428 0.9894 1
F3 F 0.2563 0.2424 0.0137 1
F4 F 0.5000 0.0232 0.3567 1
```

Largest 10 diffraction maxima, sorted by position, 2θ = 15–90°:
d (Å)  2theta  intensity
3.966  22.4  34
3.932  22.6  43
2.942  30.4  33
2.885  31.0  30
2.307  39.0  58
2.267  39.8  20
2.216  40.7  41
2.060  44.0  100
1.549  59.7  23
1.524  60.8  22